NdEuPuIn: calculated powder X-ray diffraction pattern (Cu Kα (λ = 1.5418 Å)), based on a structure optimized by DFT (PBE).
Lines closer than 0.1° are merged.

Structural model:
a b c (Å): 7.8788 7.8788 7.8788
angles (deg): 90.00 90.00 90.00
Sites, in units of the cell vectors:
1 Nd 0.0000 0.0000 0.0000
2 Nd 0.0000 0.5000 0.5000
3 Nd 0.5000 0.0000 0.5000
4 Nd 0.5000 0.5000 0.0000
5 Eu 0.0000 0.0000 0.5000
6 Eu 0.0000 0.5000 0.0000
7 Eu 0.5000 0.0000 0.0000
8 Eu 0.5000 0.5000 0.5000
9 Pu 0.2500 0.2500 0.2500
10 Pu 0.2500 0.7500 0.7500
11 Pu 0.7500 0.2500 0.7500
12 Pu 0.7500 0.7500 0.2500
13 In 0.2500 0.2500 0.7500
14 In 0.2500 0.7500 0.2500
15 In 0.7500 0.2500 0.2500
16 In 0.7500 0.7500 0.7500

Largest 10 diffraction maxima, by intensity, 2θ = 10–80°:
2θ/deg	d_spacing	intensity
32.13	2.786	100
57.29	1.608	39
46.08	1.970	18
76.46	1.246	17
67.22	1.393	12
19.51	4.549	7
37.87	2.376	4
50.49	1.808	2
70.74	1.332	2
61.12	1.516	2

***

EuInNi5: calculated powder X-ray diffraction pattern (Cu Kα (λ = 1.5418 Å)), based on a structure optimized by DFT (PBE).
Lines closer than 0.1° are merged.

Structural model:
a b c (Å): 10.3294 10.3294 10.3294
angles (deg): 27.60 27.60 27.60
Sites, in units of the cell vectors:
1 Eu 0.0000 0.0000 0.0000
2 Eu 0.5000 0.5000 0.5000
3 In 0.1103 0.1103 0.1103
4 In 0.8897 0.8897 0.8897
5 Ni 0.0691 0.5667 0.5667
6 Ni 0.1995 0.1995 0.1995
7 Ni 0.3337 0.3337 0.3337
8 Ni 0.4333 0.4333 0.9309
9 Ni 0.4333 0.9309 0.4333
10 Ni 0.5667 0.0691 0.5667
11 Ni 0.5667 0.5667 0.0691
12 Ni 0.6663 0.6663 0.6663
13 Ni 0.8005 0.8005 0.8005
14 Ni 0.9309 0.4333 0.4333

Largest 10 diffraction maxima, by intensity, 2θ = 10–80°:
2θ/deg	d_spacing	intensity
36.47	2.464	100
36.80	2.443	83
40.89	2.207	69
31.90	2.806	60
45.92	1.976	57
42.48	2.128	38
77.49	1.232	32
65.85	1.418	29
44.90	2.019	28
47.68	1.907	28

***

PmEuInNi: calculated powder X-ray diffraction pattern (Cu Kα (λ = 1.5418 Å)), based on a structure optimized by DFT (PBE).
Lines closer than 0.1° are merged.

Structural model:
a b c (Å): 7.4354 7.4354 7.4354
angles (deg): 90.00 90.00 90.00
Sites, in units of the cell vectors:
1 Pm 0.0000 0.0000 0.0000
2 Pm 0.0000 0.5000 0.5000
3 Pm 0.5000 0.0000 0.5000
4 Pm 0.5000 0.5000 0.0000
5 Eu 0.0000 0.0000 0.5000
6 Eu 0.0000 0.5000 0.0000
7 Eu 0.5000 0.0000 0.0000
8 Eu 0.5000 0.5000 0.5000
9 In 0.2500 0.2500 0.2500
10 In 0.2500 0.7500 0.7500
11 In 0.7500 0.2500 0.7500
12 In 0.7500 0.7500 0.2500
13 Ni 0.2500 0.2500 0.7500
14 Ni 0.2500 0.7500 0.2500
15 Ni 0.7500 0.2500 0.2500
16 Ni 0.7500 0.7500 0.7500

Largest 10 diffraction maxima, by intensity, 2θ = 10–80°:
2θ/deg	d_spacing	intensity
34.11	2.629	100
61.05	1.518	36
49.00	1.859	18
71.82	1.314	11
23.94	3.718	7
55.25	1.663	3
20.69	4.293	3
42.10	2.146	2
76.94	1.239	2
40.23	2.242	1

***

EuInO3: calculated powder X-ray diffraction pattern (Cu Kα (λ = 1.5418 Å)), based on a structure optimized by DFT (PBE).
Lines closer than 0.1° are merged.

Structural model:
a b c (Å): 6.4891 6.4891 12.4590
angles (deg): 90.00 90.00 120.00
Sites, in units of the cell vectors:
1 Eu 0.0000 0.0000 0.0000
2 Eu 0.0000 0.0000 0.5000
3 Eu 0.3333 0.6667 0.4752
4 Eu 0.3333 0.6667 0.9752
5 Eu 0.6667 0.3333 0.4752
6 Eu 0.6667 0.3333 0.9752
7 In 0.0000 0.3335 0.2349
8 In 0.0000 0.6665 0.7349
9 In 0.3335 0.0000 0.2349
10 In 0.3335 0.3335 0.7349
11 In 0.6665 0.0000 0.7349
12 In 0.6665 0.6665 0.2349
13 O 0.0000 0.0000 0.2105
14 O 0.0000 0.0000 0.7105
15 O 0.0000 0.3159 0.4050
16 O 0.0000 0.3528 0.0653
17 O 0.0000 0.6472 0.5653
18 O 0.0000 0.6841 0.9050
19 O 0.3159 0.0000 0.4050
20 O 0.3159 0.3159 0.9050
21 O 0.3333 0.6667 0.2530
22 O 0.3333 0.6667 0.7530
23 O 0.3528 0.0000 0.0653
24 O 0.3528 0.3528 0.5653
25 O 0.6472 0.0000 0.5653
26 O 0.6472 0.6472 0.0653
27 O 0.6667 0.3333 0.2530
28 O 0.6667 0.3333 0.7530
29 O 0.6841 0.0000 0.9050
30 O 0.6841 0.6841 0.4050

Largest 10 diffraction maxima, by intensity, 2θ = 10–80°:
2θ/deg	d_spacing	intensity
31.08	2.878	100
28.43	3.140	50
28.66	3.115	42
48.60	1.873	41
57.40	1.605	35
52.31	1.749	27
27.49	3.245	18
40.13	2.247	17
58.82	1.570	17
79.69	1.203	15